Theoretical XRD peak list of Sm12Y2Ho for Cu Ka, from a PBE-relaxed structure.

Structure:
```
data_Sm12Y2Ho
_symmetry_space_group_name_H-M 'P 1'
_symmetry_Int_Tables_number 1
_symmetry_space_group_name_Hall 'P 1'
_cell_length_a 6.783
_cell_length_b 6.783
_cell_length_c 24.784
_cell_angle_alpha 90.00
_cell_angle_beta 90.00
_cell_angle_gamma 116.18
loop_
_atom_site_label
_atom_site_type_symbol
_atom_site_fract_x
_atom_site_fract_y
_atom_site_fract_z
_atom_site_occupancy
Sm1 Sm 0.001 0.501 0.128 1
Sm2 Sm 0.001 0.999 0.925 1
Sm3 Sm 0.018 0.518 0.586 1
Sm4 Sm 0.022 0.978 0.439 1
Sm5 Sm 0.250 0.250 0.199 1
Sm6 Sm 0.250 0.250 0.325 1
Sm7 Sm 0.250 0.250 0.675 1
Sm8 Sm 0.250 0.250 0.801 1
Sm9 Sm 0.478 0.522 0.439 1
Sm10 Sm 0.482 0.982 0.586 1
Sm11 Sm 0.499 0.501 0.925 1
Sm12 Sm 0.499 0.999 0.128 1
Sm13 Sm 0.501 0.001 0.872 1
Sm14 Sm 0.501 0.499 0.075 1
Sm15 Sm 0.518 0.018 0.414 1
Sm16 Sm 0.522 0.478 0.561 1
Sm17 Sm 0.750 0.750 0.199 1
Sm18 Sm 0.750 0.750 0.325 1
Sm19 Sm 0.750 0.750 0.675 1
Sm20 Sm 0.750 0.750 0.801 1
Sm21 Sm 0.978 0.022 0.561 1
Sm22 Sm 0.982 0.482 0.414 1
Sm23 Sm 0.999 0.001 0.075 1
Sm24 Sm 0.999 0.499 0.872 1
Y1 Y 0.250 0.750 0.270 1
Y2 Y 0.250 0.750 0.734 1
Y3 Y 0.750 0.250 0.266 1
Y4 Y 0.750 0.250 0.730 1
Ho1 Ho 0.250 0.750 0.000 1
Ho2 Ho 0.750 0.250 0.000 1
```

Main lines, in order of rising 2θ (2θ from 10° to 90°):
Position (°2θ)  I (rel.)
25.87  224
28.78  265
29.62  446
30.24  603
31.06  698
32.81  1000
36.68  530
60.88  213